1.
The following is a theoretical powder diffraction line list of SrMg2HgGe. It was derived from a structure optimized by DFT (PBE), using Cu Kα.

Crystal structure
Unit cell a=4.494 b=4.494 c=12.408 alpha=90.00 beta=90.00 gamma=90.00
Space group I4mm (No. 107)
Inequivalent atoms, fractional coordinates:
Sr (0.000, 0.000, 0.000) [2 per cell]
Mg (0.000, 0.500, 0.266) [4 per cell]
Hg (0.000, 0.000, 0.618) [2 per cell]
Ge (0.000, 0.000, 0.397) [2 per cell]

Peak list (12 most intense, 15° ≤ 2θ ≤ 90°, in order of rising 2θ)
2θ = 21.0°, I = 75, (1 0 1); 2θ = 28.1°, I = 84, (1 1 0); 2θ = 29.3°, I = 100, (1 0 3); 2θ = 31.6°, I = 63, (1 1 2); 2θ = 40.1°, I = 58, (2 0 0); 2θ = 40.6°, I = 32, (1 1 4); 2θ = 41.6°, I = 73, (1 0 5); 2θ = 45.7°, I = 21, (2 1 1); 2θ = 50.5°, I = 45, (2 1 3); 2θ = 58.1°, I = 19, (2 2 0); 2θ = 59.2°, I = 51, (2 1 5); 2θ = 87.6°, I = 18, (3 2 5)

2.
The following is a theoretical powder diffraction line list of AlIr2Pt. It was derived from a structure optimized by DFT (PBE), using Cu Kα.

Crystal structure
Unit cell a=6.220 b=6.220 c=6.220 alpha=90.00 beta=90.00 gamma=90.00
Space group F-43m (No. 216)
Inequivalent atoms, fractional coordinates:
Al (0.000, 0.000, 0.000) [4 per cell]
Ir (0.000, 0.000, 0.500) [4 per cell]
Ir (0.250, 0.250, 0.750) [4 per cell]
Pt (0.250, 0.250, 0.250) [4 per cell]

Peak list (11 most intense, 15° ≤ 2θ ≤ 90°, in order of rising 2θ)
2θ = 24.8°, I = 18, (1 1 1); 2θ = 28.7°, I = 10, (2 0 0); 2θ = 41.0°, I = 100, (2 2 0); 2θ = 48.5°, I = 9, (3 1 1); 2θ = 50.9°, I = 3, (2 2 2); 2θ = 59.4°, I = 17, (4 0 0); 2θ = 65.4°, I = 4, (3 3 1); 2θ = 67.3°, I = 4, (4 2 0); 2θ = 74.8°, I = 35, (4 2 2); 2θ = 80.2°, I = 3, (5 1 1); 2θ = 89.0°, I = 12, (4 4 0)

3.
The following is a theoretical powder diffraction line list of LaDyIn2Pd4. It was derived from a structure optimized by DFT (PBE), using Cu Kα.

Crystal structure
Unit cell a=4.6399 b=4.6399 c=9.1124 alpha=90.00 beta=90.00 gamma=120.00
Space group P-6m2 (No. 187)
Inequivalent atoms, fractional coordinates:
La (0.0000, 0.0000, 0.0000) [1 per cell]
Dy (0.6667, 0.3333, 0.5000) [1 per cell]
In (0.3333, 0.6667, 0.2619) [2 per cell]
Pd (0.0000, 0.0000, 0.3419) [2 per cell]
Pd (0.6667, 0.3333, 0.1742) [2 per cell]

Peak list (12 most intense, 15° ≤ 2θ ≤ 90°, in order of rising 2θ)
2θ = 22.1°, I = 8, (1 0 0); 2θ = 29.6°, I = 33, (1 0 2); 2θ = 37.1°, I = 97, (1 0 3); 2θ = 38.8°, I = 100, (1 1 0); 2θ = 49.6°, I = 8, (2 0 2); 2θ = 54.8°, I = 31, (2 0 3); 2θ = 65.7°, I = 14, (1 0 6); 2θ = 69.2°, I = 31, (2 1 3); 2θ = 70.3°, I = 17, (3 0 0); 2θ = 74.7°, I = 8, (1 1 6); 2θ = 79.0°, I = 8, (2 0 6); 2θ = 83.3°, I = 11, (2 2 0)

4.
The following is a theoretical powder diffraction line list of Pr3HoN. It was derived from a structure optimized by DFT (PBE), using Cu Kα.

Crystal structure
Unit cell a=7.304 b=10.327 c=7.312 alpha=90.00 beta=90.00 gamma=90.00
Space group Imma (No. 74)
Inequivalent atoms, fractional coordinates:
Pr (0.000, 0.250, 0.012) [4 per cell]
Pr (0.250, 0.005, 0.750) [8 per cell]
Ho (0.000, 0.250, 0.500) [4 per cell]
N (0.000, 0.000, 0.000) [4 per cell]

Peak list (12 most intense, 15° ≤ 2θ ≤ 90°, in order of rising 2θ)
2θ = 24.4°, I = 1, (1 2 1); 2θ = 30.0°, I = 100, (2 2 0); 2θ = 34.7°, I = 56, (2 0 2); 2θ = 49.9°, I = 39, (4 0 0); 2θ = 52.4°, I = 1, (2 3 3); 2θ = 59.3°, I = 43, (4 2 2); 2θ = 62.3°, I = 13, (4 4 0); 2θ = 73.3°, I = 6, (4 0 4); 2θ = 81.1°, I = 9, (2 6 4); 2θ = 81.2°, I = 9, (6 2 0); 2θ = 83.7°, I = 12, (6 0 2); 2θ = 83.8°, I = 6, (2 8 2)

5.
The following is a theoretical powder diffraction line list of Hg2P3Br. It was derived from a structure optimized by DFT (PBE), using Cu Kα.

Crystal structure
Unit cell a=8.166 b=9.119 c=7.940 alpha=90.00 beta=90.00 gamma=90.00
Space group Pbcn (No. 60)
Inequivalent atoms, fractional coordinates:
Hg (0.217, 0.172, 0.107) [8 per cell]
P (0.000, 0.321, 0.250) [4 per cell]
P (0.112, 0.485, 0.422) [8 per cell]
Br (0.000, 0.113, 0.750) [4 per cell]

Peak list (12 most intense, 15° ≤ 2θ ≤ 90°, in order of rising 2θ)
2θ = 19.5°, I = 9, (0 2 0); 2θ = 21.8°, I = 15, (2 0 0); 2θ = 25.0°, I = 100, (1 0 2); 2θ = 29.4°, I = 11, (2 2 0); 2θ = 31.5°, I = 51, (2 2 1); 2θ = 31.8°, I = 26, (1 2 2); 2θ = 39.4°, I = 19, (0 2 3); 2θ = 40.2°, I = 24, (3 0 2); 2θ = 42.7°, I = 14, (1 4 1); 2θ = 47.1°, I = 14, (2 4 1); 2θ = 51.2°, I = 11, (2 0 4); 2θ = 58.0°, I = 8, (2 4 3)

6.
The following is a theoretical powder diffraction line list of LaYIn4Pd2. It was derived from a structure optimized by DFT (PBE), using Cu Kα.

Crystal structure
Unit cell a=7.624 b=4.569 c=10.664 alpha=90.00 beta=90.00 gamma=90.00
Space group Amm2 (No. 38)
Inequivalent atoms, fractional coordinates:
La (0.000, 0.000, 0.000) [2 per cell]
Y (0.500, 0.000, 0.850) [2 per cell]
In (0.205, 0.000, 0.289) [4 per cell]
In (0.304, 0.000, 0.565) [4 per cell]
Pd (0.000, 0.000, 0.716) [2 per cell]
Pd (0.500, 0.000, 0.134) [2 per cell]

Peak list (12 most intense, 15° ≤ 2θ ≤ 90°, in order of rising 2θ)
2θ = 31.7°, I = 100, (2 1 1); 2θ = 31.9°, I = 17, (0 1 3); 2θ = 34.0°, I = 67, (1 1 3); 2θ = 35.7°, I = 29, (1 0 4); 2θ = 39.3°, I = 22, (3 0 2); 2θ = 39.4°, I = 45, (0 2 0); 2θ = 39.9°, I = 41, (2 1 3); 2θ = 41.3°, I = 16, (2 0 4); 2θ = 41.5°, I = 29, (3 1 1); 2θ = 54.2°, I = 17, (1 2 4); 2θ = 56.9°, I = 15, (3 2 2); 2θ = 64.5°, I = 20, (0 1 7)

7.
The following is a theoretical powder diffraction line list of Tm2GaGe. It was derived from a structure optimized by DFT (PBE), using Cu Kα.

Crystal structure
Unit cell a=3.992 b=4.140 c=10.643 alpha=90.00 beta=90.00 gamma=90.00
Space group Amm2 (No. 38)
Inequivalent atoms, fractional coordinates:
Tm (0.000, 0.000, 0.000) [2 per cell]
Tm (0.500, 0.000, 0.280) [2 per cell]
Ga (0.000, 0.000, 0.722) [2 per cell]
Ge (0.500, 0.000, 0.559) [2 per cell]

Peak list (12 most intense, 15° ≤ 2θ ≤ 90°, in order of rising 2θ)
2θ = 27.9°, I = 27, (1 0 2); 2θ = 32.3°, I = 100, (1 1 1); 2θ = 33.3°, I = 38, (0 1 3); 2θ = 33.7°, I = 29, (0 0 4); 2θ = 40.4°, I = 48, (1 1 3); 2θ = 40.8°, I = 16, (1 0 4); 2θ = 43.7°, I = 23, (0 2 0); 2θ = 45.4°, I = 21, (2 0 0); 2θ = 56.3°, I = 14, (0 2 4); 2θ = 57.5°, I = 16, (2 1 3); 2θ = 64.9°, I = 14, (2 2 0); 2θ = 83.2°, I = 13, (2 1 7)

8.
The following is a theoretical powder diffraction line list of Zr2Sn2PdPt. It was derived from a structure optimized by DFT (PBE), using Cu Kα.

Crystal structure
Unit cell a=7.841 b=4.526 c=15.012 alpha=90.00 beta=100.02 gamma=90.00
Space group Pm (No. 6)
Inequivalent atoms, fractional coordinates:
Zr (0.000, 0.000, 0.000) [1 per cell]
Zr (0.002, 0.500, 0.500) [1 per cell]
Zr (0.249, 0.000, 0.750) [1 per cell]
Zr (0.251, 0.500, 0.250) [1 per cell]
Zr (0.499, 0.000, 0.499) [1 per cell]
Zr (0.501, 0.500, 0.000) [1 per cell]
Zr (0.750, 0.000, 0.250) [1 per cell]
Zr (0.751, 0.500, 0.750) [1 per cell]
Sn (0.123, 0.000, 0.374) [1 per cell]
Sn (0.126, 0.500, 0.875) [1 per cell]
Sn (0.376, 0.000, 0.126) [1 per cell]
Sn (0.378, 0.500, 0.626) [1 per cell]
Sn (0.625, 0.000, 0.874) [1 per cell]
Sn (0.627, 0.500, 0.375) [1 per cell]
Sn (0.873, 0.000, 0.624) [1 per cell]
Sn (0.876, 0.500, 0.126) [1 per cell]
Pd (0.063, 0.000, 0.188) [1 per cell]
Pd (0.563, 0.000, 0.687) [1 per cell]
Pd (0.563, 0.500, 0.187) [1 per cell]
Pd (0.813, 0.000, 0.437) [1 per cell]
Pt (0.063, 0.500, 0.687) [1 per cell]
Pt (0.312, 0.500, 0.437) [1 per cell]
Pt (0.313, 0.000, 0.937) [1 per cell]
Pt (0.813, 0.500, 0.937) [1 per cell]

Peak list (12 most intense, 15° ≤ 2θ ≤ 90°, in order of rising 2θ)
2θ = 23.0°, I = 1, (2 0 0); 2θ = 24.1°, I = 43, (1 1 1); 2θ = 27.9°, I = 4, (2 0 2); 2θ = 39.8°, I = 100, (1 1 5); 2θ = 47.1°, I = 22, (4 0 0); 2θ = 49.3°, I = 1, (2 2 2); 2θ = 57.6°, I = 17, (4 0 4); 2θ = 63.3°, I = 9, (4 2 0); 2θ = 65.2°, I = 2, (1 3 -3); 2θ = 72.3°, I = 35, (4 2 4); 2θ = 77.5°, I = 7, (6 0 2); 2θ = 85.9°, I = 11, (0 4 0)